Entry 1:
Simulated X-ray diffraction stick pattern
Compound: Cs2Cd2Sb2H
Radiation: Cu Kα X-rays
Structure: a structure optimized by DFT (GGA-PBE)
Lines closer than 0.1° are merged.

Cell and atoms:
Lattice parameters (Å, degrees): 13.466 4.933 9.061 90.00 126.53 90.00
Space group C2/m (No. 12)
Inequivalent atoms, fractional coordinates:
1 Cs 0.059 0.000 0.321 x4
2 Cd 0.173 0.500 0.077 x4
3 Sb 0.192 0.500 0.767 x4
4 H 0.000 0.500 0.000 x2

Most intense lines, 10° ≤ 2θ ≤ 80°, in order of rising 2θ:
| d [Å] | I_rel | index |
| --- | --- | --- |
| 3.460 | 100.0 | 1 1 1 |
| 3.309 | 65.9 | 4 0 -2 |
| 3.246 | 55.2 | 1 1 -2 |
| 3.120 | 38.2 | 3 1 -2 |
| 2.971 | 42.0 | 2 0 -3 |
| 2.911 | 87.6 | 3 1 0 |
| 2.827 | 31.4 | 4 0 -3 |
| 2.466 | 47.5 | 0 2 0 |
| 1.943 | 40.6 | 1 1 3 |
| 1.790 | 33.1 | 7 1 -3 |

=====

Entry 2:
Simulated X-ray diffraction stick pattern
Compound: La6PrY5
Radiation: Cu Kα X-rays
Structure: a structure optimized by DFT (GGA-PBE)
Lines closer than 0.1° are merged.

Cell and atoms:
Lattice parameters (Å, degrees): 6.289 7.422 9.728 112.38 91.60 90.02
Space group P-1 (No. 2)
Inequivalent atoms, fractional coordinates:
1 La 0.000 0.249 0.000 x2
2 La 0.331 0.083 0.666 x2
3 La 0.331 0.584 0.666 x2
4 Pr 0.500 0.000 0.000 x1
5 Y 0.168 0.167 0.335 x2
6 Y 0.168 0.666 0.333 x2
7 Y 0.500 0.500 0.000 x1

Most intense lines, 10° ≤ 2θ ≤ 80°, in order of rising 2θ:
| d [Å] | I_rel | index |
| --- | --- | --- |
| 3.710 | 2.2 | 1 0 -2 |
| 2.996 | 100.0 | 1 2 0 |
| 2.624 | 34.7 | 1 2 -3 |
| 2.540 | 15.8 | 2 0 2 |
| 1.855 | 12.4 | 2 0 -4 |
| 1.825 | 23.4 | 1 2 3 |
| 1.577 | 29.0 | 0 4 1 |
| 1.540 | 13.4 | 4 0 1 |
| 1.498 | 12.2 | 2 4 0 |
| 1.202 | 6.0 | 4 0 -5 |

=====

Entry 3:
Simulated X-ray diffraction stick pattern
Compound: NaPu2O8
Radiation: Cu Kα X-rays
Structure: a structure optimized by DFT (GGA-PBE)
Lines closer than 0.1° are merged.

Cell and atoms:
Lattice parameters (Å, degrees): 5.439 6.069 6.345 67.43 83.56 78.28
Space group P-1 (No. 2)
Inequivalent atoms, fractional coordinates:
1 Na 0.000 0.000 0.000 x1
2 Pu 0.475 0.273 0.263 x2
3 O 0.243 0.172 0.155 x2
4 O 0.301 0.626 0.622 x2
5 O 0.321 0.611 0.095 x2
6 O 0.327 0.052 0.638 x2

Most intense lines, 10° ≤ 2θ ≤ 80°, in order of rising 2θ:
| d [Å] | I_rel | index |
| --- | --- | --- |
| 5.322 | 100.0 | 1 0 0 |
| 5.061 | 86.1 | 0 1 1 |
| 4.081 | 57.7 | 1 1 1 |
| 3.431 | 37.9 | 0 1 -1 |
| 3.358 | 32.8 | -1 1 1 |
| 3.004 | 21.1 | 1 1 -1 |
| 2.928 | 20.0 | 0 0 2 |
| 2.759 | 14.7 | 0 2 0 |
| 2.525 | 23.7 | 1 0 -2 |
| 2.292 | 15.1 | 1 -2 0 |

=====

Entry 4:
Simulated X-ray diffraction stick pattern
Compound: Tl6Pt3Br14
Radiation: Cu Kα X-rays
Structure: a structure optimized by DFT (GGA-PBE)
Lines closer than 0.1° are merged.

Cell and atoms:
Lattice parameters (Å, degrees): 11.4489 11.4489 7.6289 90.00 90.00 120.00
Space group P3 (No. 143)
Inequivalent atoms, fractional coordinates:
1 Tl 0.0404 0.5730 0.0000 x3
2 Tl 0.2752 0.0521 0.5234 x3
3 Pt 0.0000 0.0000 0.9861 x1
4 Pt 0.3333 0.6667 0.4495 x1
5 Pt 0.6667 0.3333 0.3479 x1
6 Br 0.0000 0.0000 0.3148 x1
7 Br 0.0402 0.8336 0.8092 x3
8 Br 0.2026 0.4525 0.2657 x3
9 Br 0.3333 0.6667 0.7761 x1
10 Br 0.4631 0.2024 0.1563 x3
11 Br 0.5266 0.3960 0.5366 x3

Most intense lines, 10° ≤ 2θ ≤ 80°, in order of rising 2θ:
| d [Å] | I_rel | index |
| --- | --- | --- |
| 6.046 | 29.0 | 0 1 1 |
| 4.579 | 58.9 | 2 -1 1 |
| 4.157 | 100.0 | 0 2 1 |
| 3.364 | 60.3 | 3 -2 1 |
| 3.028 | 66.6 | 2 0 2 |
| 2.750 | 23.3 | 3 1 0 |
| 2.674 | 65.0 | 1 2 2 |
| 2.587 | 39.1 | 3 1 1 |
| 2.263 | 30.1 | 2 0 3 |
| 2.164 | 26.8 | 4 1 0 |

=====

Entry 5:
Simulated X-ray diffraction stick pattern
Compound: AcTb8Dy6
Radiation: Cu Kα X-rays
Structure: a structure optimized by DFT (GGA-PBE)
Lines closer than 0.1° are merged.

Cell and atoms:
Lattice parameters (Å, degrees): 9.0585 9.0585 20.8363 90.00 90.00 120.00
Space group R-3 (No. 148, hexagonal axes)
Inequivalent atoms, fractional coordinates:
1 Ac 0.0000 0.0000 0.0000 x3
2 Tb 0.0000 0.0000 0.4230 x6
3 Tb 0.0797 0.5272 0.8086 x18
4 Dy 0.0498 0.8094 0.7080 x18

Most intense lines, 10° ≤ 2θ ≤ 80°, in order of rising 2θ:
| d [Å] | I_rel | index |
| --- | --- | --- |
| 2.936 | 19.8 | 2 1 1 |
| 2.854 | 100.0 | 1 2 2 |
| 2.783 | 30.4 | 1 0 7 |
| 2.756 | 8.2 | 2 -1 6 |
| 2.577 | 12.4 | 3 -1 4 |
| 2.447 | 13.0 | 0 3 3 |
| 1.734 | 10.9 | 0 3 9 |
| 1.712 | 7.4 | 4 1 0 |
| 1.662 | 8.8 | 4 1 3 |
| 1.540 | 9.6 | 3 2 7 |

=====

Entry 6:
Simulated X-ray diffraction stick pattern
Compound: KLiGa2I8
Radiation: Cu Kα X-rays
Structure: a structure optimized by DFT (GGA-PBE)
Lines closer than 0.1° are merged.

Cell and atoms:
Lattice parameters (Å, degrees): 7.3616 7.3616 31.9229 90.00 90.00 120.00
Space group R-3 (No. 148, hexagonal axes)
Inequivalent atoms, fractional coordinates:
1 K 0.0000 0.0000 0.0000 x3
2 Li 0.0000 0.0000 0.5000 x3
3 Ga 0.0000 0.0000 0.2485 x6
4 I 0.0000 0.0000 0.3294 x6
5 I 0.0012 0.6725 0.1093 x18

Most intense lines, 10° ≤ 2θ ≤ 80°, in order of rising 2θ:
| d [Å] | I_rel | index |
| --- | --- | --- |
| 5.921 | 17.2 | 0 1 2 |
| 3.547 | 35.2 | 0 0 9 |
| 3.479 | 100.0 | 1 1 3 |
| 3.027 | 53.7 | 2 -1 6 |
| 2.156 | 33.7 | 1 1 12 |
| 2.125 | 33.2 | 3 0 0 |
| 1.842 | 14.6 | 2 -1 15 |
| 1.823 | 31.0 | 3 0 9 |
| 1.813 | 15.2 | 4 -2 3 |
| 1.379 | 12.2 | 4 1 3 |

=====

Entry 7:
Simulated X-ray diffraction stick pattern
Compound: TmThCu3
Radiation: Cu Kα X-rays
Structure: a structure optimized by DFT (GGA-PBE)
Lines closer than 0.1° are merged.

Cell and atoms:
Lattice parameters (Å, degrees): 3.498 26.110 4.367 90.00 90.00 90.00
Space group Cmcm (No. 63)
Inequivalent atoms, fractional coordinates:
1 Tm 0.000 0.206 0.250 x4
2 Th 0.000 0.074 0.750 x4
3 Cu 0.000 0.325 0.250 x4
4 Cu 0.000 0.379 0.750 x4
5 Cu 0.000 0.476 0.750 x4

Most intense lines, 10° ≤ 2θ ≤ 80°, in order of rising 2θ:
| d [Å] | I_rel | index |
| --- | --- | --- |
| 3.630 | 40.1 | 0 4 1 |
| 3.264 | 15.5 | 0 8 0 |
| 2.605 | 100.0 | 1 3 1 |
| 2.552 | 55.6 | 1 7 0 |
| 2.419 | 15.4 | 1 5 1 |
| 2.241 | 43.4 | 0 10 1 |
| 2.184 | 29.6 | 0 0 2 |
| 1.749 | 14.8 | 2 0 0 |
| 1.659 | 30.4 | 1 7 2 |
| 1.379 | 18.0 | 2 10 1 |

=====

Entry 8:
Simulated X-ray diffraction stick pattern
Compound: Pr3NdYHo
Radiation: Cu Kα X-rays
Structure: a structure optimized by DFT (GGA-PBE)
Lines closer than 0.1° are merged.

Cell and atoms:
Lattice parameters (Å, degrees): 6.061 11.321 12.065 90.00 90.00 90.00
Space group Cmcm (No. 63)
Inequivalent atoms, fractional coordinates:
1 Pr 0.000 0.165 0.009 x8
2 Pr 0.000 0.331 0.750 x4
3 Nd 0.000 0.500 0.000 x4
4 Y 0.000 0.342 0.250 x4
5 Ho 0.000 0.010 0.750 x4

Most intense lines, 10° ≤ 2θ ≤ 80°, in order of rising 2θ:
| d [Å] | I_rel | index |
| --- | --- | --- |
| 3.031 | 30.5 | 2 0 0 |
| 3.016 | 29.6 | 0 0 4 |
| 2.829 | 100.0 | 1 3 2 |
| 2.138 | 22.4 | 2 0 4 |
| 1.887 | 7.6 | 0 6 0 |
| 1.708 | 22.4 | 3 3 2 |
| 1.703 | 21.3 | 1 3 6 |
| 1.601 | 17.4 | 2 6 0 |
| 1.415 | 11.4 | 2 6 4 |
| 1.333 | 9.4 | 3 3 6 |

=====

Entry 9:
Simulated X-ray diffraction stick pattern
Compound: Nd2YErIn2
Radiation: Cu Kα X-rays
Structure: a structure optimized by DFT (GGA-PBE)
Lines closer than 0.1° are merged.

Cell and atoms:
Lattice parameters (Å, degrees): 5.246 9.991 6.825 90.00 90.00 90.00
Space group Pmc2_1 (No. 26)
Inequivalent atoms, fractional coordinates:
1 Nd 0.000 0.039 0.000 x2
2 Nd 0.500 0.181 0.277 x2
3 Y 0.500 0.462 0.930 x2
4 Er 0.000 0.322 0.651 x2
5 In 0.000 0.366 0.178 x2
6 In 0.500 0.153 0.753 x2

Most intense lines, 10° ≤ 2θ ≤ 80°, in order of rising 2θ:
| d [Å] | I_rel | index |
| --- | --- | --- |
| 3.196 | 10.2 | 1 2 1 |
| 2.860 | 31.6 | 1 0 2 |
| 2.813 | 100.0 | 1 3 0 |
| 2.750 | 56.9 | 1 1 2 |
| 2.623 | 41.2 | 2 0 0 |
| 2.600 | 10.9 | 1 3 1 |
| 2.383 | 15.5 | 0 3 2 |
| 1.919 | 18.2 | 2 2 2 |
| 1.764 | 12.3 | 2 3 2 |
| 1.548 | 21.3 | 3 3 0 |

=====

Entry 10:
Simulated X-ray diffraction stick pattern
Compound: Dy2Ga3Pd4
Radiation: Cu Kα X-rays
Structure: a structure optimized by DFT (GGA-PBE)
Lines closer than 0.1° are merged.

Cell and atoms:
Lattice parameters (Å, degrees): 5.584 15.201 7.702 90.00 90.00 90.00
Space group Cmce (No. 64)
Inequivalent atoms, fractional coordinates:
1 Dy 0.000 0.110 0.083 x8
2 Ga 0.000 0.000 0.500 x4
3 Ga 0.250 0.231 0.750 x8
4 Pd 0.000 0.182 0.481 x8
5 Pd 0.250 0.060 0.750 x8

Most intense lines, 10° ≤ 2θ ≤ 80°, in order of rising 2θ:
| d [Å] | I_rel | index |
| --- | --- | --- |
| 2.688 | 29.4 | 1 3 2 |
| 2.523 | 100.0 | 1 5 1 |
| 2.481 | 45.7 | 2 2 1 |
| 2.432 | 51.5 | 0 2 3 |
| 2.407 | 24.3 | 0 6 1 |
| 2.260 | 87.8 | 2 0 2 |
| 2.250 | 21.2 | 2 4 0 |
| 2.117 | 21.5 | 0 6 2 |
| 1.555 | 22.4 | 3 5 1 |
| 1.396 | 21.6 | 4 0 0 |